For Ac2Nd3NpN6, the PBE geometry in Alexandria gives the theoretical powder diffractogram in this record (λ = 1.5418 Å (Cu Kα)).
Neutral-atom scattering factors, no anomalous dispersion.

Atomic structure:
abc: 6.4136 11.2060 6.3406
angles: 90.00 109.69 90.00
Space group C2/m (No. 12)
One atom of each set of equivalent atoms:
Ac 0.0000 0.1664 0.0000
Nd 0.0000 0.0000 0.5000
Nd 0.0000 0.3430 0.5000
Np 0.0000 0.5000 0.0000
N 0.2161 0.3594 0.2277
N 0.2228 0.5000 0.7482

Main lines, low angle first (2θ from 5° to 70°):
2θ = 29.4°, 3.036 Å, I = 100, (1 3 -1)
2θ = 29.6°, 3.019 Å, I = 50, (2 0 0)
2θ = 29.9°, 2.985 Å, I = 48, (0 0 2)
2θ = 34.2°, 2.618 Å, I = 89, (1 3 1)
2θ = 34.4°, 2.607 Å, I = 45, (2 0 -2)
2θ = 48.8°, 1.868 Å, I = 16, (0 6 0)
2θ = 49.1°, 1.855 Å, I = 32, (3 3 -1)
2θ = 49.6°, 1.839 Å, I = 31, (1 3 -3)
2θ = 58.1°, 1.588 Å, I = 16, (2 6 0)
2θ = 58.3°, 1.583 Å, I = 16, (0 6 2)
2θ = 58.5°, 1.577 Å, I = 24, (3 3 1)
2θ = 61.0°, 1.518 Å, I = 16, (2 6 -2)



For Ac2NdP2N6, the PBE geometry in Alexandria gives the theoretical powder diffractogram in this record (λ = 1.5418 Å (Cu Kα)).
Neutral-atom scattering factors, no anomalous dispersion.

Atomic structure:
abc: 5.9366 5.9366 6.3112
angles: 90.00 90.00 120.00
Space group P-3 (No. 147)
One atom of each set of equivalent atoms:
Ac 0.3333 0.6667 0.3290
Nd 0.0000 0.0000 0.0000
P 0.3333 0.6667 0.8098
N 0.1108 0.3722 0.7575

Main lines, low angle first (2θ from 5° to 70°):
2θ = 17.2°, 5.141 Å, I = 9, (1 0 0)
2θ = 22.3°, 3.986 Å, I = 100, (0 1 1)
2θ = 30.1°, 2.968 Å, I = 75, (1 1 0)
2θ = 33.3°, 2.689 Å, I = 66, (1 0 2)
2θ = 37.8°, 2.381 Å, I = 37, (2 0 1)
2θ = 45.5°, 1.993 Å, I = 28, (0 2 2)
2θ = 49.1°, 1.857 Å, I = 30, (1 2 1)
2θ = 53.4°, 1.715 Å, I = 41, (3 0 0)
2θ = 55.5°, 1.655 Å, I = 29, (2 1 2)
2θ = 61.5°, 1.508 Å, I = 12, (0 1 4)
2θ = 62.6°, 1.484 Å, I = 11, (2 2 0)
2θ = 67.3°, 1.391 Å, I = 11, (4 -1 1)



For Ac2NdPaN5, the PBE geometry in Alexandria gives the theoretical powder diffractogram in this record (λ = 1.5418 Å (Cu Kα)).
Neutral-atom scattering factors, no anomalous dispersion.

Atomic structure:
abc: 4.2500 4.2500 9.3507
angles: 90.00 90.00 90.00
Space group P4/mmm (No. 123)
One atom of each set of equivalent atoms:
Ac 0.0000 0.0000 0.2256
Nd 0.5000 0.5000 0.5000
Pa 0.5000 0.5000 0.0000
N 0.0000 0.0000 0.5000
N 0.0000 0.5000 0.0000
N 0.5000 0.5000 0.2498

Main lines, low angle first (2θ from 5° to 70°):
2θ = 9.5°, 9.351 Å, I = 14, (0 0 1)
2θ = 28.4°, 3.145 Å, I = 100, (1 0 2)
2θ = 29.7°, 3.005 Å, I = 54, (1 1 0)
2θ = 35.7°, 2.513 Å, I = 8, (1 0 3)
2θ = 38.5°, 2.338 Å, I = 13, (0 0 4)
2θ = 42.5°, 2.125 Å, I = 23, (2 0 0)
2θ = 49.4°, 1.845 Å, I = 22, (1 1 4)
2θ = 51.9°, 1.761 Å, I = 40, (2 1 2)
2θ = 58.7°, 1.572 Å, I = 15, (2 0 4)
2θ = 61.7°, 1.503 Å, I = 8, (2 2 0)
2θ = 63.6°, 1.463 Å, I = 7, (1 0 6)
2θ = 69.3°, 1.356 Å, I = 9, (3 0 2)



For Ac3NdPb2N, the PBE geometry in Alexandria gives the theoretical powder diffractogram in this record (λ = 1.5418 Å (Cu Kα)).
Neutral-atom scattering factors, no anomalous dispersion.

Atomic structure:
abc: 5.0837 5.1905 17.6301
angles: 90.00 90.00 90.00
Space group Immm (No. 71)
One atom of each set of equivalent atoms:
Ac 0.0000 0.0000 0.0000
Ac 0.0000 0.5000 0.1639
Nd 0.0000 0.0000 0.5000
Pb 0.0000 0.5000 0.3613
N 0.0000 0.5000 0.0000

Main lines, low angle first (2θ from 5° to 70°):
2θ = 24.5°, 3.632 Å, I = 25, (1 1 0)
2θ = 26.5°, 3.358 Å, I = 65, (1 1 2)
2θ = 30.4°, 2.938 Å, I = 31, (0 0 6)
2θ = 31.9°, 2.803 Å, I = 100, (1 1 4)
2θ = 34.6°, 2.595 Å, I = 32, (0 2 0)
2θ = 35.3°, 2.542 Å, I = 30, (2 0 0)
2θ = 46.7°, 1.945 Å, I = 19, (0 2 6)
2θ = 47.3°, 1.922 Å, I = 18, (2 0 6)
2θ = 50.2°, 1.816 Å, I = 22, (2 2 0)
2θ = 58.2°, 1.586 Å, I = 25, (1 1 10)
2θ = 59.9°, 1.545 Å, I = 18, (2 2 6)
2θ = 60.3°, 1.535 Å, I = 17, (1 3 4)



For AcNd2PtN4, the PBE geometry in Alexandria gives the theoretical powder diffractogram in this record (λ = 1.5418 Å (Cu Kα)).
Neutral-atom scattering factors, no anomalous dispersion.

Atomic structure:
abc: 3.5995 12.3852 12.0672
angles: 90.00 90.00 90.00
Space group Cmcm (No. 63)
One atom of each set of equivalent atoms:
Ac 0.0000 0.1071 0.2500
Nd 0.0000 0.3705 0.0470
Pt 0.0000 0.1550 0.7500
N 0.0000 0.0000 0.0000
N 0.0000 0.2746 0.6276
N 0.0000 0.4439 0.2500

Main lines, low angle first (2θ from 5° to 70°):
2θ = 14.7°, 6.034 Å, I = 19, (0 0 2)
2θ = 26.4°, 3.373 Å, I = 21, (0 2 3)
2θ = 28.8°, 3.096 Å, I = 47, (0 4 0)
2θ = 29.6°, 3.017 Å, I = 35, (0 0 4)
2θ = 29.8°, 2.999 Å, I = 100, (1 1 2)
2θ = 33.9°, 2.647 Å, I = 21, (1 3 1)
2θ = 36.3°, 2.474 Å, I = 71, (1 3 2)
2θ = 41.8°, 2.161 Å, I = 21, (0 4 4)
2θ = 47.0°, 1.933 Å, I = 17, (1 5 2)
2θ = 50.7°, 1.800 Å, I = 16, (2 0 0)
2θ = 60.3°, 1.536 Å, I = 15, (0 8 1)
2θ = 67.8°, 1.383 Å, I = 19, (2 4 4)



For Ac2NdPuN5, the PBE geometry in Alexandria gives the theoretical powder diffractogram in this record (λ = 1.5418 Å (Cu Kα)).
Neutral-atom scattering factors, no anomalous dispersion.

Atomic structure:
abc: 3.7610 14.8765 11.3921
angles: 90.00 90.00 90.00
Space group Cmc2_1 (No. 36)
One atom of each set of equivalent atoms:
Ac 0.0000 0.1035 0.0000
Ac 0.0000 0.1361 0.5755
Nd 0.0000 0.2274 0.3102
Pu 0.0000 0.4708 0.7708
N 0.0000 0.0597 0.3626
N 0.0000 0.2715 0.9694
N 0.0000 0.3422 0.7022
N 0.0000 0.3959 0.3242
N 0.0000 0.4874 0.0930

Main lines, low angle first (2θ from 5° to 70°):
2θ = 26.4°, 3.382 Å, I = 40, (0 2 3)
2θ = 28.7°, 3.114 Å, I = 80, (0 4 2)
2θ = 29.1°, 3.071 Å, I = 100, (1 1 2)
2θ = 29.8°, 2.997 Å, I = 50, (1 3 0)
2θ = 30.9°, 2.898 Å, I = 34, (1 3 1)
2θ = 31.4°, 2.848 Å, I = 30, (0 0 4)
2θ = 34.1°, 2.630 Å, I = 27, (1 1 3)
2θ = 37.1°, 2.423 Å, I = 19, (0 6 1)
2θ = 43.9°, 2.064 Å, I = 22, (1 3 4)
2θ = 48.4°, 1.880 Å, I = 20, (2 0 0)
2θ = 50.3°, 1.814 Å, I = 23, (1 3 5)
2θ = 57.2°, 1.610 Å, I = 25, (2 4 2)